Entry 1:
For Ce3In, the PBE geometry in Alexandria gives the computed X-ray diffraction stick pattern in this record (Cu Kα, 1.54184 Å).
Neutral-atom scattering factors, no anomalous dispersion.

Structure:
Cell: 6.249 6.249 5.915 Å, 100.51 100.51 89.22°
Atoms (fractional coordinates):
1 Ce 0.021 0.021 0.227
2 Ce 0.156 0.541 0.198
3 Ce 0.459 0.844 0.802
4 Ce 0.541 0.156 0.198
5 Ce 0.844 0.459 0.802
6 Ce 0.979 0.979 0.773
7 In 0.329 0.329 0.690
8 In 0.671 0.671 0.310

Main lines, in order of falling intensity (2θ = 5–70°):
d [Å], two_theta, I_rel
2.939, 30.41, 100
2.725, 32.87, 85
2.859, 31.29, 63
2.416, 37.22, 51
1.770, 51.63, 35
2.770, 32.32, 30
2.520, 35.62, 28
1.497, 61.99, 26

***

Entry 2:
For CeIn7, the PBE geometry in Alexandria gives the computed X-ray diffraction stick pattern in this record (Cu Kα, 1.54184 Å).
Neutral-atom scattering factors, no anomalous dispersion.

Structure:
Cell: 9.826 9.826 9.826 Å, 151.57 151.57 40.65°
Atoms (fractional coordinates):
1 Ce 0.000 0.000 0.000
2 In 0.126 0.626 0.500
3 In 0.244 0.244 0.000
4 In 0.374 0.874 0.500
5 In 0.500 0.500 0.000
6 In 0.626 0.126 0.500
7 In 0.756 0.756 0.000
8 In 0.874 0.374 0.500

Main lines, in order of falling intensity (2θ = 5–70°):
d [Å], two_theta, I_rel
2.742, 32.66, 100
2.413, 37.26, 35
1.449, 64.30, 27
1.666, 55.12, 21
2.303, 39.11, 15
1.706, 53.72, 12
1.400, 66.80, 12
1.371, 68.43, 11

***

Entry 3:
For Ce3InIr, the PBE geometry in Alexandria gives the computed X-ray diffraction stick pattern in this record (Cu Kα, 1.54184 Å).
Neutral-atom scattering factors, no anomalous dispersion.

Structure:
Cell: 9.111 8.512 5.930 Å, 75.90 64.97 39.14°
Atoms (fractional coordinates):
1 Ce 0.189 0.609 0.391
2 Ce 0.206 0.206 0.794
3 Ce 0.391 0.811 0.189
4 Ce 0.609 0.189 0.811
5 Ce 0.794 0.794 0.206
6 Ce 0.811 0.391 0.609
7 In 0.204 0.796 0.796
8 In 0.796 0.204 0.204
9 Ir 0.250 0.250 0.250
10 Ir 0.750 0.750 0.750

Main lines, in order of falling intensity (2θ = 5–70°):
d [Å], two_theta, I_rel
2.657, 33.73, 100
2.601, 34.48, 42
2.285, 39.44, 39
2.274, 39.63, 36
2.391, 37.62, 29
2.853, 31.36, 27
2.720, 32.93, 27
1.586, 58.17, 21

***

Entry 4:
For Ce2In8Ir, the PBE geometry in Alexandria gives the computed X-ray diffraction stick pattern in this record (Cu Kα, 1.54184 Å).
Neutral-atom scattering factors, no anomalous dispersion.

Structure:
Cell: 4.714 4.714 12.250 Å, 90.00 90.00 90.00°
Atoms (fractional coordinates):
1 Ce 0.000 0.000 0.195
2 Ce 0.000 0.000 0.805
3 In 0.000 0.500 0.000
4 In 0.000 0.500 0.378
5 In 0.000 0.500 0.622
6 In 0.500 0.000 0.000
7 In 0.500 0.000 0.378
8 In 0.500 0.000 0.622
9 In 0.500 0.500 0.192
10 In 0.500 0.500 0.808
11 Ir 0.000 0.000 0.500

Main lines, in order of falling intensity (2θ = 5–70°):
d [Å], two_theta, I_rel
2.582, 34.74, 100
2.357, 38.18, 54
1.400, 66.80, 29
2.928, 30.53, 21
1.667, 55.10, 18
1.699, 53.98, 16
2.450, 36.68, 13
2.255, 39.98, 12

***

Entry 5:
For Ce6In3Ir, the PBE geometry in Alexandria gives the computed X-ray diffraction stick pattern in this record (Cu Kα, 1.54184 Å).
Neutral-atom scattering factors, no anomalous dispersion.

Structure:
Cell: 5.615 8.867 11.899 Å, 90.00 114.92 90.00°
Atoms (fractional coordinates):
1 Ce 0.020 0.140 0.054
2 Ce 0.020 0.360 0.554
3 Ce 0.434 0.179 0.429
4 Ce 0.434 0.321 0.929
5 Ce 0.451 0.575 0.268
6 Ce 0.451 0.925 0.768
7 Ce 0.549 0.075 0.232
8 Ce 0.549 0.425 0.732
9 Ce 0.566 0.679 0.071
10 Ce 0.566 0.821 0.571
11 Ce 0.980 0.640 0.446
12 Ce 0.980 0.860 0.946
13 In 0.000 0.000 0.500
14 In 0.000 0.500 0.000
15 In 0.090 0.622 0.762
16 In 0.090 0.878 0.262
17 In 0.910 0.122 0.738
18 In 0.910 0.378 0.238
19 Ir 0.500 0.000 0.000
20 Ir 0.500 0.500 0.500

Main lines, in order of falling intensity (2θ = 5–70°):
d [Å], two_theta, I_rel
2.615, 34.30, 100
2.803, 31.93, 69
2.546, 35.25, 68
2.932, 30.49, 44
2.698, 33.21, 41
2.433, 36.95, 39
2.970, 30.09, 35
3.478, 25.62, 34

***

Entry 6:
For Ce8In2Ir3, the PBE geometry in Alexandria gives the computed X-ray diffraction stick pattern in this record (Cu Kα, 1.54184 Å).
Neutral-atom scattering factors, no anomalous dispersion.

Structure:
Cell: 9.169 9.169 4.452 Å, 100.18 100.18 68.26°
Atoms (fractional coordinates):
1 Ce 0.056 0.056 0.277
2 Ce 0.116 0.635 0.908
3 Ce 0.365 0.884 0.092
4 Ce 0.377 0.377 0.434
5 Ce 0.623 0.623 0.566
6 Ce 0.635 0.116 0.908
7 Ce 0.884 0.365 0.092
8 Ce 0.944 0.944 0.723
9 In 0.223 0.223 0.823
10 In 0.777 0.777 0.177
11 Ir 0.277 0.723 0.500
12 Ir 0.500 0.500 0.000
13 Ir 0.723 0.277 0.500

Main lines, in order of falling intensity (2θ = 5–70°):
d [Å], two_theta, I_rel
2.702, 33.15, 100
7.415, 11.93, 60
2.572, 34.88, 48
2.850, 31.38, 32
2.244, 40.19, 24
2.171, 41.59, 20
1.509, 61.44, 20
2.862, 31.25, 20

***

Entry 7:
For Ce12InIr7, the PBE geometry in Alexandria gives the computed X-ray diffraction stick pattern in this record (Cu Kα, 1.54184 Å).
Neutral-atom scattering factors, no anomalous dispersion.

Structure:
Cell: 8.420 8.420 8.420 Å, 109.90 109.90 109.90°
Atoms (fractional coordinates):
1 Ce 0.100 0.310 0.423
2 Ce 0.186 0.696 0.365
3 Ce 0.304 0.635 0.814
4 Ce 0.310 0.423 0.100
5 Ce 0.365 0.186 0.696
6 Ce 0.423 0.100 0.310
7 Ce 0.577 0.900 0.690
8 Ce 0.635 0.814 0.304
9 Ce 0.690 0.577 0.900
10 Ce 0.696 0.365 0.186
11 Ce 0.814 0.304 0.635
12 Ce 0.900 0.690 0.577
13 In 0.000 0.000 0.000
14 Ir 0.016 0.917 0.319
15 Ir 0.083 0.681 0.984
16 Ir 0.319 0.016 0.917
17 Ir 0.500 0.500 0.500
18 Ir 0.681 0.984 0.083
19 Ir 0.917 0.319 0.016
20 Ir 0.984 0.083 0.681

Main lines, in order of falling intensity (2θ = 5–70°):
d [Å], two_theta, I_rel
2.604, 34.44, 100
2.581, 34.76, 47
2.552, 35.17, 35
2.261, 39.88, 35
2.148, 42.07, 20
2.281, 39.51, 15
2.176, 41.50, 13
1.569, 58.85, 12

***

Entry 8:
For Ce8InIr6, the PBE geometry in Alexandria gives the computed X-ray diffraction stick pattern in this record (Cu Kα, 1.54184 Å).
Neutral-atom scattering factors, no anomalous dispersion.

Structure:
Cell: 10.287 10.287 4.028 Å, 90.00 90.00 120.00°
Atoms (fractional coordinates):
1 Ce 0.054 0.323 0.266
2 Ce 0.270 0.946 0.266
3 Ce 0.323 0.270 0.734
4 Ce 0.333 0.667 0.756
5 Ce 0.667 0.333 0.244
6 Ce 0.677 0.730 0.266
7 Ce 0.730 0.054 0.734
8 Ce 0.946 0.677 0.734
9 In 0.000 0.000 0.000
10 Ir 0.096 0.622 0.241
11 Ir 0.378 0.474 0.241
12 Ir 0.474 0.096 0.759
13 Ir 0.526 0.904 0.241
14 Ir 0.622 0.526 0.759
15 Ir 0.904 0.378 0.759

Main lines, in order of falling intensity (2θ = 5–70°):
d [Å], two_theta, I_rel
2.583, 34.72, 100
2.471, 36.36, 38
2.988, 29.91, 35
8.909, 9.93, 28
2.168, 41.67, 26
2.970, 30.09, 21
2.014, 45.01, 18
1.944, 46.73, 18